Structure and simulated powder XRD pattern of Nd6Sm16Dy7 (DFT lattice parameters and positions (GGA-PBE); Cu Kα, 1.54184 Å).

Peak list (8 most intense, 2θ = 15–90°, by intensity)
hkl  2θ/deg  d [Å]  I/Imax
4 4 0  31.66  2.826  100
8 4 4  56.39  1.632  26
8 0 0  45.38  1.999  14
3 3 3  29.02  3.077  12
8 8 0  66.12  1.413  7
12 4 0  75.17  1.264  7
4 2 2  27.33  3.264  6
7 3 1  43.48  2.081  6

Crystal structure
Cell: 15.988 15.988 15.988 Å, 90.00 90.00 90.00°
Space group Fm-3m (No. 225)
One atom of each set of equivalent atoms:
Nd 0.000 0.000 0.227 [24 per cell]
Sm 0.126 0.126 0.374 [32 per cell]
Sm 0.151 0.151 0.151 [32 per cell]
Dy 0.000 0.000 0.500 [4 per cell]
Dy 0.000 0.250 0.250 [24 per cell]



Structure and simulated powder XRD pattern of NdSm2Dy12 (DFT lattice parameters and positions (GGA-PBE); Cu Kα, 1.54184 Å).

Peak list (8 most intense, 2θ = 15–90°, by intensity)
hkl  2θ/deg  d [Å]  I/Imax
1 1 7  31.86  2.809  100
2 0 4  31.36  2.852  88
2 1 3  33.02  2.713  85
2 0 2  28.74  3.107  73
2 0 3  29.85  2.994  59
2 1 6  38.07  2.364  57
0 0 9  32.17  2.782  52
3 1 9  56.12  1.639  51

Crystal structure
Cell: 6.414 6.414 25.039 Å, 90.00 90.00 90.00°
Space group P4/nbm (No. 125, origin choice 2)
One atom of each set of equivalent atoms:
Nd 0.250 0.750 0.000 [2 per cell]
Sm 0.250 0.750 0.273 [4 per cell]
Dy 0.066 0.566 0.118 [8 per cell]
Dy 0.082 0.582 0.439 [8 per cell]
Dy 0.250 0.250 0.217 [4 per cell]
Dy 0.250 0.250 0.340 [4 per cell]



Structure and simulated powder XRD pattern of Nd2SmDy (DFT lattice parameters and positions (GGA-PBE); Cu Kα, 1.54184 Å).

Peak list (8 most intense, 2θ = 15–90°, by intensity)
hkl  2θ/deg  d [Å]  I/Imax
0 1 5  31.01  2.884  100
1 0 7  33.45  2.679  78
0 0 12  30.31  2.949  49
1 1 12  59.61  1.551  43
1 1 0  50.02  1.823  37
0 1 2  28.71  3.109  32
0 1 17  52.66  1.738  24
1 0 10  38.19  2.356  17

Crystal structure
Cell: 3.6468 3.6468 35.3917 Å, 90.00 90.00 120.00°
Space group R3m (No. 160, hexagonal axes)
One atom of each set of equivalent atoms:
Nd 0.0000 0.0000 0.0000 [3 per cell]
Nd 0.0000 0.0000 0.1682 [3 per cell]
Sm 0.0000 0.0000 0.7510 [3 per cell]
Dy 0.0000 0.0000 0.5837 [3 per cell]



Structure and simulated powder XRD pattern of Nd5Sm4Dy3 (DFT lattice parameters and positions (GGA-PBE); Cu Kα, 1.54184 Å).

Peak list (8 most intense, 2θ = 15–90°, by intensity)
hkl  2θ/deg  d [Å]  I/Imax
2 0 1  30.17  2.962  100
2 0 -2  34.95  2.567  34
1 2 5  59.79  1.547  22
3 -2 0  50.25  1.816  18
3 2 0  50.35  1.812  18
1 2 2  35.03  2.562  17
4 0 -1  59.71  1.549  14
0 4 6  84.43  1.147  8

Crystal structure
Cell: 6.284 7.251 8.893 Å, 90.00 90.14 90.15°
Space group P-1 (No. 2)
One atom of each set of equivalent atoms:
Nd 0.000 0.000 0.000 [1 per cell]
Nd 0.331 0.500 0.334 [2 per cell]
Nd 0.499 0.251 0.000 [2 per cell]
Sm 0.166 0.750 0.666 [2 per cell]
Sm 0.334 0.000 0.335 [2 per cell]
Dy 0.000 0.500 0.000 [1 per cell]
Dy 0.167 0.250 0.666 [2 per cell]